Theoretical XRD peak list of YTmO3 for CuKα, from a PBE-relaxed structure.
No peak broadening, texture or thermal motion is included.

Structure:
Cell: 5.923 8.305 5.664 Å, 90.00 90.00 90.00°
Sites, in units of the cell vectors:
1 Y 0.053 0.250 0.015
2 Y 0.447 0.750 0.515
3 Y 0.553 0.250 0.485
4 Y 0.947 0.750 0.985
5 Tm 0.000 0.000 0.500
6 Tm 0.000 0.500 0.500
7 Tm 0.500 0.000 0.000
8 Tm 0.500 0.500 0.000
9 O 0.078 0.750 0.355
10 O 0.186 0.575 0.817
11 O 0.186 0.925 0.817
12 O 0.314 0.075 0.317
13 O 0.314 0.425 0.317
14 O 0.422 0.250 0.855
15 O 0.578 0.750 0.145
16 O 0.686 0.575 0.683
17 O 0.686 0.925 0.683
18 O 0.814 0.075 0.183
19 O 0.814 0.425 0.183
20 O 0.922 0.250 0.645

Most intense lines, 15 to 90 degrees two-theta, in order of rising 2θ:
4.094 Å, 2θ 21.7, rel. 15, (1 0 1); 2.961 Å, 2θ 30.2, rel. 23, (2 0 0); 2.915 Å, 2θ 30.7, rel. 100, (1 2 1); 2.832 Å, 2θ 31.6, rel. 21, (0 0 2); 2.076 Å, 2θ 43.6, rel. 11, (0 4 0); 2.047 Å, 2θ 44.3, rel. 20, (2 0 2); 1.700 Å, 2θ 53.9, rel. 29, (2 4 0); 1.651 Å, 2θ 55.7, rel. 23, (1 2 3); 1.458 Å, 2θ 63.9, rel. 12, (2 4 2); 1.311 Å, 2θ 72.0, rel. 12, (1 6 1)

=====

Theoretical XRD peak list of Y11Tm5O24 for CuKα, from a PBE-relaxed structure.
No peak broadening, texture or thermal motion is included.

Structure:
Cell: 9.198 9.198 9.198 Å, 109.46 109.46 109.43°
Sites, in units of the cell vectors:
1 Y 0.000 0.000 0.000
2 Y 0.000 0.498 0.496
3 Y 0.250 0.781 0.033
4 Y 0.282 0.031 0.747
5 Y 0.467 0.250 0.217
6 Y 0.499 0.997 0.499
7 Y 0.501 0.499 0.999
8 Y 0.532 0.748 0.779
9 Y 0.719 0.966 0.249
10 Y 0.782 0.531 0.749
11 Y 0.968 0.248 0.717
12 Tm 0.033 0.748 0.282
13 Tm 0.216 0.466 0.249
14 Tm 0.250 0.281 0.530
15 Tm 0.750 0.715 0.464
16 Tm 0.751 0.217 0.967
17 O 0.013 0.242 0.971
18 O 0.029 0.769 0.538
19 O 0.042 0.530 0.769
20 O 0.228 0.988 0.956
21 O 0.230 0.260 0.769
22 O 0.239 0.230 0.272
23 O 0.256 0.029 0.483
24 O 0.269 0.725 0.261
25 O 0.270 0.539 0.526
26 O 0.458 0.727 0.987
27 O 0.468 0.513 0.241
28 O 0.491 0.959 0.729
29 O 0.512 0.042 0.272
30 O 0.528 0.484 0.755
31 O 0.546 0.271 0.010
32 O 0.729 0.269 0.741
33 O 0.730 0.459 0.466
34 O 0.740 0.964 0.509
35 O 0.762 0.771 0.725
36 O 0.771 0.013 0.040
37 O 0.773 0.737 0.229
38 O 0.957 0.467 0.224
39 O 0.972 0.228 0.456
40 O 0.988 0.759 0.033

Most intense lines, 15 to 90 degrees two-theta, in order of rising 2θ:
4.338 Å, 2θ 20.5, rel. 16, (1 -2 0); 3.067 Å, 2θ 29.1, rel. 100, (1 1 1); 2.656 Å, 2θ 33.7, rel. 30, (2 -2 2); 2.504 Å, 2θ 35.9, rel. 8, (-3 2 2); 2.084 Å, 2θ 43.4, rel. 12, (0 3 1); 1.878 Å, 2θ 48.5, rel. 40, (4 0 0); 1.724 Å, 2θ 53.1, rel. 7, (-3 4 2); 1.602 Å, 2θ 57.5, rel. 30, (3 -1 3); 1.566 Å, 2θ 59.0, rel. 8, (-4 1 5); 1.219 Å, 2θ 78.5, rel. 6, (5 1 1)

=====

Theoretical XRD peak list of Tm4Zr3O12 for CuKα, from a PBE-relaxed structure.
No peak broadening, texture or thermal motion is included.

Structure:
Cell: 6.325 6.359 6.523 Å, 99.85 98.78 99.47°
Sites, in units of the cell vectors:
1 Tm 0.111 0.301 0.135
2 Tm 0.193 0.865 0.390
3 Tm 0.807 0.135 0.610
4 Tm 0.889 0.699 0.865
5 Zr 0.349 0.395 0.672
6 Zr 0.500 0.000 0.000
7 Zr 0.651 0.605 0.328
8 O 0.083 0.186 0.431
9 O 0.084 0.418 0.822
10 O 0.183 0.930 0.062
11 O 0.325 0.572 0.426
12 O 0.419 0.081 0.689
13 O 0.467 0.323 0.111
14 O 0.533 0.677 0.889
15 O 0.581 0.919 0.311
16 O 0.675 0.428 0.574
17 O 0.817 0.070 0.938
18 O 0.916 0.582 0.178
19 O 0.917 0.814 0.569

Most intense lines, 15 to 90 degrees two-theta, in order of rising 2θ:
3.071 Å, 2θ 29.1, rel. 54, (0 1 -2); 3.035 Å, 2θ 29.4, rel. 48, (1 1 1); 2.988 Å, 2θ 29.9, rel. 100, (1 -2 0); 2.630 Å, 2θ 34.1, rel. 21, (-1 1 2); 2.616 Å, 2θ 34.3, rel. 21, (2 -1 1); 2.600 Å, 2θ 34.5, rel. 28, (1 2 -1); 1.854 Å, 2θ 49.1, rel. 28, (1 -3 2); 1.842 Å, 2θ 49.5, rel. 15, (0 3 1); 1.826 Å, 2θ 50.0, rel. 14, (-3 2 1); 1.567 Å, 2θ 58.9, rel. 25, (0 4 -1)

=====

Theoretical XRD peak list of Tm4Zr3O12 for CuKα, from a PBE-relaxed structure.
No peak broadening, texture or thermal motion is included.

Structure:
Cell: 6.376 6.404 12.780 Å, 99.14 99.40 99.35°
Sites, in units of the cell vectors:
1 Tm 0.110 0.137 0.403
2 Tm 0.187 0.391 0.681
3 Tm 0.198 0.390 0.181
4 Tm 0.360 0.690 0.946
5 Tm 0.640 0.310 0.054
6 Tm 0.802 0.610 0.819
7 Tm 0.813 0.609 0.319
8 Tm 0.890 0.863 0.597
9 Zr 0.110 0.143 0.906
10 Zr 0.357 0.681 0.445
11 Zr 0.494 0.994 0.748
12 Zr 0.506 0.006 0.252
13 Zr 0.643 0.319 0.555
14 Zr 0.890 0.857 0.094
15 O 0.070 0.828 0.963
16 O 0.075 0.419 0.841
17 O 0.086 0.820 0.463
18 O 0.091 0.433 0.341
19 O 0.179 0.057 0.713
20 O 0.180 0.043 0.204
21 O 0.316 0.409 0.032
22 O 0.326 0.425 0.535
23 O 0.422 0.689 0.288
24 O 0.423 0.680 0.778
25 O 0.429 0.080 0.908
26 O 0.457 0.096 0.412
27 O 0.543 0.904 0.588
28 O 0.571 0.920 0.092
29 O 0.577 0.320 0.222
30 O 0.578 0.311 0.712
31 O 0.674 0.575 0.465
32 O 0.684 0.591 0.968
33 O 0.820 0.957 0.796
34 O 0.821 0.943 0.287
35 O 0.909 0.567 0.659
36 O 0.914 0.180 0.537
37 O 0.925 0.581 0.159
38 O 0.930 0.172 0.037

Most intense lines, 15 to 90 degrees two-theta, in order of rising 2θ:
3.035 Å, 2θ 29.4, rel. 46, (1 1 2); 3.011 Å, 2θ 29.7, rel. 100, (1 0 -4); 3.004 Å, 2θ 29.7, rel. 50, (2 -1 0); 2.619 Å, 2θ 34.2, rel. 23, (-1 2 2); 2.608 Å, 2θ 34.4, rel. 41, (1 -1 4); 1.855 Å, 2θ 49.1, rel. 26, (0 1 6); 1.841 Å, 2θ 49.5, rel. 42, (-3 1 4); 1.578 Å, 2θ 58.5, rel. 22, (-2 2 6); 1.573 Å, 2θ 58.7, rel. 17, (-3 3 2); 1.570 Å, 2θ 58.8, rel. 25, (3 1 -6)